Starting from a DFT-relaxed cell (PBE+U, the Materials Project), the XRD peak list of LiVOF3 was computed for Cu Kα X-rays.

Top 10 peaks for 2θ from 5° to 70°, sorted by position:
2θ = 17.0°, I = 1000; 2θ = 25.3°, I = 361; 2θ = 26.4°, I = 474; 2θ = 26.7°, I = 365; 2θ = 27.6°, I = 467; 2θ = 34.3°, I = 148; 2θ = 39.3°, I = 176; 2θ = 39.6°, I = 152; 2θ = 39.8°, I = 152; 2θ = 51.9°, I = 215

Lattice parameters (Å, degrees): 4.7054 5.4518 5.6756 67.01 89.11 86.79
Atoms (fractional coordinates):
1 Li 0.0000 0.0000 0.0000
2 Li 0.5000 0.5000 0.0000
3 V 0.0000 0.5000 0.5000
4 V 0.5000 0.0000 0.5000
5 O 0.2203 0.1857 0.6062
6 O 0.7797 0.8143 0.3938
7 F 0.1849 0.6372 0.1717
8 F 0.2843 0.6674 0.6429
9 F 0.3251 0.1347 0.1666
10 F 0.6749 0.8653 0.8334
11 F 0.7157 0.3326 0.3571
12 F 0.8151 0.3628 0.8283

Starting from a DFT-relaxed cell (PBE+U, the Materials Project), the XRD peak list of LiV4OF11 was computed for Cu Kα X-rays.

Top 10 peaks for 2θ from 5° to 70°, sorted by position:
2θ = 23.3°, I = 1000; 2θ = 23.6°, I = 507; 2θ = 32.2°, I = 103; 2θ = 32.5°, I = 92; 2θ = 32.8°, I = 91; 2θ = 39.3°, I = 126; 2θ = 39.6°, I = 119; 2θ = 47.7°, I = 210; 2θ = 48.4°, I = 100; 2θ = 53.5°, I = 79

Lattice parameters (Å, degrees): 5.2694 5.5268 17.3158 89.03 81.78 62.11
Atoms (fractional coordinates):
1 Li 0.0000 0.0000 0.0000
2 Li 0.4233 0.3830 0.7504
3 V 0.0513 0.5554 0.3218
4 V 0.0589 0.0535 0.8184
5 V 0.3097 0.9324 0.4463
6 V 0.3226 0.4334 0.9483
7 V 0.5505 0.7917 0.0683
8 V 0.5633 0.3140 0.5726
9 V 0.7953 0.1803 0.1984
10 V 0.7954 0.6685 0.6886
11 O 0.4562 0.6552 0.9858
12 O 0.6278 0.4597 0.6623
13 F 0.0293 0.8632 0.2551
14 F 0.0619 0.3637 0.7619
15 F 0.0660 0.7596 0.8857
16 F 0.0837 0.2378 0.3827
17 F 0.1070 0.0349 0.1014
18 F 0.1214 0.2047 0.9146
19 F 0.1270 0.5278 0.6070
20 F 0.1290 0.7205 0.4085
21 F 0.4786 0.3414 0.2860
22 F 0.4839 0.8379 0.7858
23 F 0.4889 0.1433 0.4828
24 F 0.5388 0.6195 0.5060
25 F 0.5576 0.0126 0.6383
26 F 0.5701 0.4969 0.1367
27 F 0.5825 0.0990 0.0058
28 F 0.6120 0.2761 0.8474
29 F 0.6238 0.9688 0.1569
30 F 0.6325 0.7692 0.3568
31 F 0.9810 0.3877 0.2325
32 F 0.9870 0.5829 0.0340
33 F 0.9883 0.0871 0.5336
34 F 0.9887 0.8826 0.7336

Starting from a DFT-relaxed cell (PBE+U, the Materials Project), the XRD peak list of Li2VO2F2 was computed for Cu Kα X-rays.

Top 10 peaks for 2θ from 5° to 70°, sorted by position:
2θ = 14.7°, I = 268; 2θ = 14.9°, I = 342; 2θ = 18.0°, I = 290; 2θ = 18.3°, I = 1000; 2θ = 23.4°, I = 353; 2θ = 23.6°, I = 557; 2θ = 26.0°, I = 342; 2θ = 42.7°, I = 855; 2θ = 43.0°, I = 402; 2θ = 62.5°, I = 341

Lattice parameters (Å, degrees): 6.0374 5.9467 8.4054 90.00 90.78 90.00
Atoms (fractional coordinates):
1 Li 0.0000 0.0000 0.0000
2 Li 0.0000 0.4834 0.5000
3 Li 0.2445 0.2486 0.2392
4 Li 0.2481 0.9934 0.6399
5 Li 0.2565 0.4993 0.8687
6 Li 0.7435 0.4993 0.1313
7 Li 0.7519 0.9934 0.3601
8 Li 0.7556 0.2486 0.7608
9 V 0.2409 0.7712 0.2364
10 V 0.5000 0.4887 0.5000
11 V 0.5000 0.9775 0.0000
12 V 0.7591 0.7712 0.7636
13 O 0.0366 0.9706 0.2586
14 O 0.2645 0.7585 0.0149
15 O 0.4732 0.5230 0.2872
16 O 0.4841 0.9909 0.2216
17 O 0.5159 0.9909 0.7784
18 O 0.5268 0.5230 0.7128
19 O 0.7355 0.7585 0.9851
20 O 0.9634 0.9706 0.7414
21 F 0.0267 0.5021 0.2554
22 F 0.2539 0.7284 0.4969
23 F 0.2574 0.2250 0.9946
24 F 0.2607 0.2665 0.5076
25 F 0.7393 0.2665 0.4924
26 F 0.7426 0.2250 0.0054
27 F 0.7461 0.7284 0.5031
28 F 0.9732 0.5021 0.7446

Starting from a DFT-relaxed cell (PBE+U, the Materials Project), the XRD peak list of Li5VO4F was computed for Cu Kα X-rays.

Top 10 peaks for 2θ from 5° to 70°, sorted by position:
2θ = 16.0°, I = 1000; 2θ = 19.7°, I = 159; 2θ = 21.3°, I = 543; 2θ = 24.2°, I = 912; 2θ = 29.1°, I = 269; 2θ = 43.3°, I = 915; 2θ = 45.1°, I = 381; 2θ = 48.1°, I = 145; 2θ = 56.6°, I = 220; 2θ = 64.3°, I = 366

Lattice parameters (Å, degrees): 5.1370 5.1370 5.8147 106.35 106.35 46.08
Atoms (fractional coordinates):
1 Li 0.0000 0.0000 0.0000
2 Li 0.0258 0.0258 0.4538
3 Li 0.3789 0.3789 0.1980
4 Li 0.4058 0.4058 0.6465
5 Li 0.7096 0.7096 0.8214
6 V 0.7193 0.7193 0.3580
7 O 0.2052 0.2052 0.3276
8 O 0.5626 0.5626 0.4907
9 O 0.8417 0.8417 0.1536
10 O 0.8703 0.8703 0.6568
11 F 0.5359 0.5359 0.9917

Starting from a DFT-relaxed cell (PBE+U, the Materials Project), the XRD peak list of Li2VO2F was computed for Cu Kα X-rays.

Top 10 peaks for 2θ from 5° to 70°, sorted by position:
2θ = 14.5°, I = 237; 2θ = 15.1°, I = 1000; 2θ = 23.4°, I = 374; 2θ = 29.7°, I = 230; 2θ = 38.3°, I = 163; 2θ = 42.4°, I = 634; 2θ = 42.6°, I = 489; 2θ = 44.5°, I = 411; 2θ = 61.5°, I = 164; 2θ = 61.8°, I = 161

Lattice parameters (Å, degrees): 3.0009 6.0310 6.4570 103.07 103.37 90.22
Atoms (fractional coordinates):
1 Li 0.0000 0.0000 0.0000
2 Li 0.0090 0.4834 0.0140
3 Li 0.3337 0.1422 0.6591
4 Li 0.6559 0.3025 0.3146
5 V 0.3272 0.6726 0.6741
6 V 0.6688 0.8258 0.3133
7 O 0.1520 0.0597 0.3286
8 O 0.1980 0.5873 0.3460
9 O 0.4953 0.7308 0.9911
10 O 0.8387 0.8937 0.6582
11 F 0.4937 0.2418 0.9865
12 F 0.8188 0.4159 0.6665

Starting from a DFT-relaxed cell (PBE+U, the Materials Project), the XRD peak list of LiV4OF11 was computed for Cu Kα X-rays.

Top 10 peaks for 2θ from 5° to 70°, sorted by position:
2θ = 23.3°, I = 492; 2θ = 23.5°, I = 1000; 2θ = 31.6°, I = 92; 2θ = 31.8°, I = 103; 2θ = 33.5°, I = 86; 2θ = 38.5°, I = 121; 2θ = 47.7°, I = 104; 2θ = 48.0°, I = 205; 2θ = 51.7°, I = 137; 2θ = 51.7°, I = 82

Lattice parameters (Å, degrees): 5.4094 5.6470 16.6755 82.92 81.16 61.63
Atoms (fractional coordinates):
1 Li 0.0000 0.0000 0.0000
2 Li 0.1787 0.3978 0.2428
3 V 0.0204 0.1739 0.7982
4 V 0.1252 0.3057 0.4246
5 V 0.3024 0.4014 0.0508
6 V 0.3882 0.5487 0.6740
7 V 0.5415 0.6573 0.3064
8 V 0.6475 0.7927 0.9234
9 V 0.7572 0.9261 0.5491
10 V 0.8793 0.0544 0.1724
11 O 0.6610 0.2055 0.0857
12 O 0.8826 0.4671 0.3367
13 F 0.1025 0.8575 0.7399
14 F 0.1070 0.2751 0.1480
15 F 0.1433 0.8682 0.2593
16 F 0.1455 0.7151 0.5874
17 F 0.1758 0.3377 0.7090
18 F 0.1885 0.7525 0.1030
19 F 0.3290 0.0974 0.9887
20 F 0.3342 0.5229 0.3898
21 F 0.3748 0.1368 0.5117
22 F 0.4074 0.9674 0.8335
23 F 0.4169 0.0057 0.3554
24 F 0.4255 0.5847 0.9565
25 F 0.5675 0.3583 0.2403
26 F 0.5958 0.7621 0.6384
27 F 0.6294 0.3816 0.7643
28 F 0.6719 0.2370 0.6127
29 F 0.7065 0.8088 0.2096
30 F 0.8437 0.6128 0.4897
31 F 0.8639 0.0206 0.8962
32 F 0.8949 0.6428 0.0135
33 F 0.9254 0.0834 0.4620
34 F 0.9430 0.4792 0.8617